Diffraction record for V6O5F19. The powder X-ray diffraction pattern is computed, not measured: it uses a crystal structure in the Materials Project, relaxed with GGA+U and Cu Kα X-rays.
Intensities are scaled so that the largest is 100.

Most intense lines, 2θ = 15–90°, low angle first:
(hkl)  Position (°2θ)  intensity
0 0 3  18.38  100
1 1 -1  24.47  49
1 1 2  24.59  47
1 -1 1  25.36  90
0 2 1  32.28  15
0 0 6  37.26  14
2 1 2  38.14  9
-2 1 2  39.23  9
1 0 -6  41.06  13
2 2 1  46.36  13
-2 2 1  48.28  16
-1 1 8  53.40  9

Crystal structure
a b c (Å): 5.329 5.551 14.722
angles (deg): 79.61 89.70 87.81
Space group P1 (No. 1)
Symmetry-distinct sites (fractional):
V1 0.000 0.000 0.000
V2 0.005 0.321 0.333
V3 0.428 0.069 0.666
V4 0.454 0.491 0.002
V5 0.484 0.784 0.338
V6 0.937 0.558 0.674
O1 0.173 0.566 0.313
O2 0.179 0.239 0.978
O3 0.197 0.905 0.648
O4 0.263 0.737 0.980
O5 0.765 0.321 0.692
F1 0.044 0.212 0.452
F2 0.054 0.871 0.118
F3 0.068 0.561 0.785
F4 0.246 0.389 0.643
F5 0.269 0.085 0.313
F6 0.375 0.716 0.454
F7 0.382 0.366 0.118
F8 0.406 0.078 0.786
F9 0.541 0.801 0.219
F10 0.554 0.458 0.890
F11 0.565 0.151 0.555
F12 0.684 0.805 0.698
F13 0.688 0.469 0.361
F14 0.696 0.130 0.028
F15 0.740 0.619 0.031
F16 0.758 0.953 0.362
F17 0.880 0.295 0.224
F18 0.893 0.958 0.890
F19 0.899 0.674 0.555

Diffraction record for V2OF5. The powder X-ray diffraction pattern is computed, not measured: it uses a crystal structure in the Materials Project, relaxed with GGA+U and Cu Kα X-rays.
Intensities are scaled so that the largest is 100.

Most intense lines, 2θ = 15–90°, low angle first:
(hkl)  Position (°2θ)  intensity
0 1 -1  20.64  43
0 1 2  20.80  56
0 2 1  20.96  59
1 1 -1  28.27  98
1 -1 1  28.36  100
-1 1 2  28.49  45
-1 2 1  28.67  40
1 0 3  41.21  40
1 3 3  41.59  35
-1 3 3  41.91  24
1 4 2  46.95  23
2 0 -3  54.08  58

Crystal structure
a b c (Å): 4.639 8.478 8.544
angles (deg): 60.76 89.67 89.44
Space group P1 (No. 1)
Symmetry-distinct sites (fractional):
V1 0.000 0.000 0.000
V2 0.000 0.335 0.332
V3 0.474 0.025 0.652
V4 0.475 0.690 0.322
V5 0.517 0.348 0.978
V6 0.989 0.668 0.668
O1 0.257 0.208 0.545
O2 0.261 0.872 0.214
O3 0.728 0.454 0.796
F1 0.239 0.221 0.902
F2 0.239 0.558 0.877
F3 0.243 0.571 0.546
F4 0.250 0.551 0.235
F5 0.251 0.905 0.878
F6 0.252 0.254 0.198
F7 0.261 0.884 0.565
F8 0.737 0.434 0.115
F9 0.740 0.802 0.747
F10 0.742 0.101 0.779
F11 0.743 0.468 0.414
F12 0.744 0.119 0.097
F13 0.749 0.788 0.112
F14 0.750 0.121 0.445
F15 0.752 0.764 0.446

Diffraction record for V6O11F. The powder X-ray diffraction pattern is computed, not measured: it uses a crystal structure in the Materials Project, relaxed with GGA+U and Cu Kα X-rays.
Intensities are scaled so that the largest is 100.

Most intense lines, 2θ = 15–90°, low angle first:
(hkl)  Position (°2θ)  intensity
0 0 6  26.85  99
0 2 0  27.57  100
1 1 3  36.13  100
0 2 6  38.87  13
1 0 6  40.95  20
1 2 0  41.46  19
1 1 9  53.69  55
1 3 3  54.51  56
0 0 12  55.33  16
0 4 0  56.93  18
2 0 0  63.11  17
1 3 9  68.59  39

Crystal structure
a b c (Å): 2.946 6.470 19.924
angles (deg): 90.00 90.00 90.00
Space group Amm2 (No. 38)
Symmetry-distinct sites (fractional):
V1 0.000 0.000 0.000
V2 0.000 0.000 0.323
V3 0.000 0.000 0.650
V4 0.500 0.000 0.160
V5 0.500 0.000 0.486
V6 0.500 0.000 0.813
O1 0.000 0.000 0.090
O2 0.000 0.000 0.224
O3 0.000 0.000 0.423
O4 0.000 0.000 0.552
O5 0.000 0.000 0.752
O6 0.500 0.195 0.987
O7 0.500 0.197 0.654
O8 0.500 0.209 0.322
F1 0.000 0.000 0.886

Diffraction record for VOF3. The powder X-ray diffraction pattern is computed, not measured: it uses a crystal structure in the Materials Project, relaxed with GGA+U and Cu Kα X-rays.
Intensities are scaled so that the largest is 100.

Most intense lines, 2θ = 15–90°, low angle first:
(hkl)  Position (°2θ)  intensity
1 0 -1  18.54  96
0 1 1  24.59  99
1 1 0  24.75  100
1 0 1  31.80  18
2 0 -2  37.59  12
1 2 0  38.22  26
0 1 2  40.58  12
2 1 -2  41.26  14
1 2 1  46.62  29
2 2 0  50.75  13
3 1 -2  53.52  14
1 3 0  54.36  12

Crystal structure
a b c (Å): 5.521 5.400 5.584
angles (deg): 90.00 119.09 90.00
Space group P2_1 (No. 4)
Symmetry-distinct sites (fractional):
V1 0.224 0.000 0.205
O1 0.008 0.168 0.939
F1 0.075 0.001 0.422
F2 0.440 0.845 0.101
F3 0.481 0.227 0.404

Diffraction record for V3O4F2. The powder X-ray diffraction pattern is computed, not measured: it uses a crystal structure in the Materials Project, relaxed with GGA+U and Cu Kα X-rays.
Intensities are scaled so that the largest is 100.

Most intense lines, 2θ = 15–90°, low angle first:
(hkl)  Position (°2θ)  intensity
1 3 0  27.13  100
0 3 1  35.70  52
1 3 1  40.79  20
2 2 1  51.41  6
2 3 1  53.63  23
1 6 1  53.76  29
2 6 0  55.95  15
0 0 2  62.07  10
3 0 1  67.98  6
0 9 1  68.34  16
1 3 2  69.00  11
2 6 2  88.38  8

Crystal structure
a b c (Å): 4.662 13.906 2.991
angles (deg): 90.00 90.00 90.00
Space group Pnnm (No. 58)
Symmetry-distinct sites (fractional):
V1 0.000 0.000 0.000
V2 0.060 0.325 0.000
O1 0.188 0.933 0.500
O2 0.233 0.265 0.500
F1 0.179 0.601 0.500

Diffraction record for V4O7F5. The powder X-ray diffraction pattern is computed, not measured: it uses a crystal structure in the Materials Project, relaxed with GGA+U and Cu Kα X-rays.
Intensities are scaled so that the largest is 100.

Most intense lines, 2θ = 15–90°, low angle first:
(hkl)  Position (°2θ)  intensity
1 0 1  23.68  92
-1 1 1  23.78  94
0 1 -2  23.88  100
1 1 -1  33.40  14
1 -2 1  33.59  23
1 0 -3  34.34  16
2 0 2  48.44  21
-2 2 2  48.67  20
0 2 -4  48.89  18
1 1 3  54.38  26
-1 2 3  54.54  16
-3 1 3  61.06  11

Crystal structure
a b c (Å): 5.270 5.338 9.021
angles (deg): 106.29 90.07 119.21
Space group P1 (No. 1)
Symmetry-distinct sites (fractional):
V1 0.000 0.000 0.000
V2 0.210 0.521 0.751
V3 0.462 0.976 0.488
V4 0.762 0.483 0.246
O1 0.066 0.286 0.856
O2 0.098 0.773 0.818
O3 0.102 0.782 0.398
O4 0.459 0.780 0.603
O5 0.568 0.286 0.361
O6 0.912 0.283 0.148
O7 0.949 0.783 0.111
F1 0.426 0.294 0.074
F2 0.442 0.286 0.644
F3 0.589 0.779 0.889
F4 0.598 0.789 0.322
F5 0.931 0.274 0.565